Diffraction record for PrSbPt. The powder X-ray diffraction pattern is theoretical, not measured: it uses a crystal structure in the Materials Project, relaxed with PBE and a wavelength of 1.5418 Å.
Intensities are scaled so that the largest is 100.

Principal peaks in the range 2θ = 10–90°, sorted by position:
hkl, d [Å], Rel. int.
0 0 2, 4.092, 13
1 0 2, 2.852, 100
1 1 0, 2.297, 68
2 0 2, 1.789, 26
1 1 4, 1.528, 27
2 1 2, 1.411, 23

Structural model:
Cell: 4.5930 4.5930 8.1845 Å, 90.00 90.00 120.00°
Space group P6_3mc (No. 186)
One atom of each set of equivalent atoms:
Pr 0.0000 0.0000 0.0000
Sb 0.3333 0.6667 0.2623
Pt 0.3333 0.6667 0.7115

Diffraction record for Pr3Sb4Pt7. The powder X-ray diffraction pattern is theoretical, not measured: it uses a crystal structure in the Materials Project, relaxed with PBE and a wavelength of 1.5418 Å.
Intensities are scaled so that the largest is 100.

Principal peaks in the range 2θ = 10–90°, sorted by position:
hkl, d [Å], Rel. int.
1 1 2, 2.673, 100
5 1 -3, 2.480, 19
5 1 0, 2.303, 18
0 2 0, 2.238, 50
3 1 2, 2.093, 19
7 1 -2, 2.088, 15

Structural model:
Cell: 16.7006 4.4756 9.9792 Å, 90.00 126.48 90.00°
Space group C2/m (No. 12)
One atom of each set of equivalent atoms:
Pr 0.0000 0.0000 0.0000
Pr 0.1682 0.5000 0.6578
Sb 0.1213 0.0000 0.8451
Sb 0.1763 0.5000 0.3047
Pt 0.0000 0.0000 0.5000
Pt 0.0001 0.5000 0.2761
Pt 0.1317 0.0000 0.3986
Pt 0.1862 0.5000 0.0493

Diffraction record for Pr3Sb4Pt3. The powder X-ray diffraction pattern is theoretical, not measured: it uses a crystal structure in the Materials Project, relaxed with PBE and a wavelength of 1.5418 Å.
Intensities are scaled so that the largest is 100.

Principal peaks in the range 2θ = 10–90°, sorted by position:
hkl, d [Å], Rel. int.
2 1 1, 4.087, 30
3 2 1, 2.675, 100
4 2 0, 2.238, 50
4 2 2, 2.043, 15
5 1 0, 1.963, 16
5 5 2, 1.362, 15

Structural model:
Cell: 10.0107 10.0107 10.0107 Å, 90.00 90.00 90.00°
Space group I-43d (No. 220)
One atom of each set of equivalent atoms:
Pr 0.0000 0.2500 0.8750
Sb 0.0813 0.4187 0.5813
Pt 0.0000 0.2500 0.3750

Diffraction record for Pr2Si3Pt3. The powder X-ray diffraction pattern is theoretical, not measured: it uses a crystal structure in the Materials Project, relaxed with PBE and a wavelength of 1.5418 Å.
Intensities are scaled so that the largest is 100.

Principal peaks in the range 2θ = 10–90°, sorted by position:
hkl, d [Å], Rel. int.
0 0 3, 7.095, 58
1 0 0, 2.818, 100
0 0 8, 2.661, 34
1 1 0, 1.993, 37
1 0 8, 1.935, 54
1 1 8, 1.595, 31

Structural model:
Cell: 2.8185 2.8185 21.2858 Å, 90.00 90.00 90.00°
Space group P4/mmm (No. 123)
One atom of each set of equivalent atoms:
Pr 0.0000 0.0000 0.2459
Si 0.0000 0.0000 0.0000
Si 0.0000 0.0000 0.3896
Pt 0.0000 0.0000 0.1115
Pt 0.0000 0.0000 0.5000

Diffraction record for RbPr3. The powder X-ray diffraction pattern is theoretical, not measured: it uses a crystal structure in the Materials Project, relaxed with PBE and a wavelength of 1.5418 Å.
Intensities are scaled so that the largest is 100.

Principal peaks in the range 2θ = 10–90°, sorted by position:
hkl, d [Å], Rel. int.
1 1 2, 3.154, 100
0 0 4, 2.765, 18
2 0 0, 2.715, 33
2 0 4, 1.937, 25
1 1 6, 1.662, 15
3 1 2, 1.640, 29

Structural model:
Cell: 5.4307 5.4307 11.0586 Å, 90.00 90.00 90.00°
Space group I4/mmm (No. 139)
One atom of each set of equivalent atoms:
Rb 0.0000 0.0000 0.0000
Pr 0.0000 0.0000 0.5000
Pr 0.0000 0.5000 0.2500

Diffraction record for RbPrS2. The powder X-ray diffraction pattern is theoretical, not measured: it uses a crystal structure in the Materials Project, relaxed with PBE and a wavelength of 1.5418 Å.
Intensities are scaled so that the largest is 100.

Principal peaks in the range 2θ = 10–90°, sorted by position:
hkl, d [Å], Rel. int.
0 0 3, 7.719, 20
0 0 6, 3.860, 20
0 1 2, 3.516, 42
1 0 4, 3.112, 100
0 1 8, 2.278, 36
1 1 0, 2.131, 35

Structural model:
Cell: 4.2611 4.2611 23.1574 Å, 90.00 90.00 120.00°
Space group R-3m (No. 166, hexagonal axes)
One atom of each set of equivalent atoms:
Rb 0.0000 0.0000 0.0000
Pr 0.0000 0.0000 0.5000
S 0.0000 0.0000 0.2328